Rb3CoO2: theoretical powder diffractogram (a wavelength of 1.5418 Å), based on a GGA+U-relaxed structure.
Kinematic intensities with the Lorentz-polarization factor, no thermal factor.

Structural model:
```
Rb3CoO2
1.0
6.802 0.000 0.000
0.000 9.860 0.000
-3.628 0.000 9.006
Rb Co O
12 4 8
direct
0.239 0.031 0.375 Rb
0.239 0.469 0.875 Rb
0.254 0.037 0.996 Rb
0.254 0.463 0.496 Rb
0.257 0.707 0.187 Rb
0.257 0.793 0.687 Rb
0.743 0.207 0.313 Rb
0.743 0.293 0.813 Rb
0.746 0.537 0.504 Rb
0.746 0.963 0.004 Rb
0.761 0.531 0.125 Rb
0.761 0.969 0.625 Rb
0.208 0.178 0.674 Co
0.208 0.322 0.174 Co
0.792 0.678 0.826 Co
0.792 0.822 0.326 Co
0.002 0.701 0.380 O
0.002 0.799 0.880 O
0.426 0.063 0.725 O
0.426 0.437 0.225 O
0.574 0.563 0.775 O
0.574 0.937 0.275 O
0.998 0.201 0.120 O
0.998 0.299 0.620 O
```

Top 10 peaks for 5° ≤ 2θ ≤ 70°, low angle first:
two_theta	I_rel	h k l
26.63	68	1 2 -2
26.81	55	0 2 2
28.29	100	2 0 0
30.56	44	1 3 -1
30.67	49	1 3 0
31.14	74	0 1 3
33.32	59	2 2 -2
33.76	53	1 2 2
33.90	95	2 1 -3
58.47	28	4 0 0